The following is a simulated powder X-ray diffraction pattern of LiVP3O9. It was derived from a GGA+U-relaxed structure, using Cu Kα (weighted mean of Kα1 and Kα2).
Kinematic intensities with the Lorentz-polarization factor, no thermal factor.

Cell lengths 9.469, 9.481, 9.790 Å; angles 109.93, 104.37, 108.54 degrees
Fractional positions:
Li  0.141  0.349  0.168
Li  0.154  0.568  0.998
Li  0.846  0.432  0.002
Li  0.859  0.651  0.832
V  0.248  0.729  0.774
V  0.402  0.202  0.287
V  0.598  0.798  0.713
V  0.752  0.271  0.226
P  0.011  0.651  0.394
P  0.069  0.837  0.206
P  0.193  0.069  0.909
P  0.311  0.409  0.578
P  0.444  0.711  0.337
P  0.498  0.889  0.147
P  0.502  0.111  0.853
P  0.556  0.289  0.663
P  0.689  0.591  0.422
P  0.807  0.931  0.091
P  0.931  0.163  0.794
P  0.989  0.349  0.606
O  0.002  0.676  0.056
O  0.059  0.514  0.754
O  0.072  0.101  0.790
O  0.094  0.803  0.358
O  0.129  0.677  0.542
O  0.135  0.885  0.857
O  0.136  0.311  0.573
O  0.222  0.978  0.243
O  0.229  0.184  0.078
O  0.287  0.575  0.202
O  0.304  0.355  0.412
O  0.346  0.752  0.007
O  0.350  0.142  0.873
O  0.378  0.595  0.685
O  0.409  0.339  0.673
O  0.453  0.772  0.501
O  0.468  0.932  0.819
O  0.498  0.128  0.697
O  0.502  0.872  0.303
O  0.532  0.068  0.181
O  0.547  0.228  0.499
O  0.591  0.661  0.327
O  0.622  0.405  0.315
O  0.650  0.858  0.127
O  0.654  0.248  0.993
O  0.696  0.645  0.588
O  0.713  0.425  0.798
O  0.771  0.816  0.922
O  0.778  0.022  0.757
O  0.864  0.689  0.427
O  0.865  0.115  0.143
O  0.871  0.323  0.458
O  0.906  0.197  0.642
O  0.928  0.899  0.210
O  0.941  0.486  0.246
O  0.998  0.324  0.944

Largest 10 diffraction maxima, in order of falling intensity, 10° ≤ 2θ ≤ 90°:
2θ (°)	I/Imax
31.17	100
18.45	83
11.24	70
25.06	66
28.43	51
23.39	43
22.24	42
32.44	41
30.21	41
21.06	41

***

The following is a simulated powder X-ray diffraction pattern of Li3VP2O8. It was derived from a GGA+U-relaxed structure, using Cu Kα (weighted mean of Kα1 and Kα2).
Kinematic intensities with the Lorentz-polarization factor, no thermal factor.

Cell lengths 4.696, 5.154, 13.604 Å; angles 97.71, 90.03, 117.06 degrees
Fractional positions:
Li  0.000  0.000  0.000
Li  0.062  0.999  0.500
Li  0.336  0.672  0.818
Li  0.399  0.672  0.318
Li  0.654  0.336  0.909
Li  0.744  0.335  0.409
V  0.699  0.335  0.659
V  0.700  0.336  0.159
P  0.023  0.021  0.774
P  0.060  0.021  0.274
P  0.339  0.650  0.044
P  0.375  0.650  0.543
O  0.042  0.711  0.245
O  0.142  0.562  0.627
O  0.196  0.655  0.449
O  0.203  0.014  0.868
O  0.254  0.107  0.690
O  0.358  0.960  0.073
O  0.424  0.255  0.291
O  0.483  0.562  0.128
O  0.505  0.415  0.526
O  0.525  0.656  0.949
O  0.665  0.960  0.573
O  0.732  0.711  0.745
O  0.873  0.014  0.368
O  0.895  0.257  0.792
O  0.917  0.108  0.190
O  0.976  0.415  0.026

Largest 10 diffraction maxima, in order of falling intensity, 10° ≤ 2θ ≤ 90°:
2θ (°)	I/Imax
24.32	100
13.17	67
35.30	51
25.28	50
33.04	33
38.55	33
53.28	13
36.79	12
75.74	11
58.02	11

***

The following is a simulated powder X-ray diffraction pattern of Li2VP2O8. It was derived from a GGA+U-relaxed structure, using Cu Kα (weighted mean of Kα1 and Kα2).
Kinematic intensities with the Lorentz-polarization factor, no thermal factor.

Cell lengths 6.879, 8.948, 10.860 Å; angles 90.00, 90.00, 90.00 degrees
Fractional positions:
Li  0.128  0.092  0.396
Li  0.229  0.262  0.009
Li  0.271  0.738  0.509
Li  0.372  0.908  0.896
Li  0.628  0.408  0.604
Li  0.729  0.238  0.991
Li  0.771  0.762  0.491
Li  0.872  0.592  0.104
V  0.244  0.776  0.184
V  0.256  0.224  0.684
V  0.744  0.724  0.816
V  0.756  0.276  0.316
P  0.030  0.937  0.647
P  0.127  0.495  0.336
P  0.373  0.505  0.836
P  0.470  0.063  0.147
P  0.530  0.563  0.353
P  0.627  0.005  0.664
P  0.873  0.995  0.164
P  0.970  0.437  0.853
O  0.028  0.342  0.322
O  0.053  0.288  0.803
O  0.073  0.595  0.442
O  0.093  0.912  0.514
O  0.116  0.576  0.209
O  0.147  0.556  0.851
O  0.177  0.229  0.543
O  0.188  0.006  0.731
O  0.312  0.994  0.231
O  0.323  0.771  0.043
O  0.353  0.444  0.351
O  0.384  0.424  0.709
O  0.407  0.088  0.014
O  0.427  0.405  0.942
O  0.447  0.712  0.303
O  0.472  0.658  0.822
O  0.528  0.158  0.678
O  0.553  0.212  0.197
O  0.573  0.905  0.558
O  0.593  0.588  0.486
O  0.616  0.924  0.791
O  0.647  0.944  0.149
O  0.677  0.271  0.457
O  0.688  0.494  0.269
O  0.812  0.506  0.769
O  0.823  0.729  0.957
O  0.853  0.056  0.649
O  0.884  0.076  0.291
O  0.907  0.412  0.986
O  0.927  0.095  0.058
O  0.947  0.788  0.697
O  0.972  0.842  0.178

Largest 10 diffraction maxima, in order of falling intensity, 10° ≤ 2θ ≤ 90°:
2θ (°)	I/Imax
19.12	100
18.20	73
28.97	62
16.32	40
26.56	15
36.99	13
33.78	13
27.19	12
23.11	12
68.02	10

***

The following is a simulated powder X-ray diffraction pattern of Li3VP2O8. It was derived from a GGA+U-relaxed structure, using Cu Kα (weighted mean of Kα1 and Kα2).
Kinematic intensities with the Lorentz-polarization factor, no thermal factor.

Cell lengths 7.142, 5.359, 8.559 Å; angles 90.00, 97.48, 90.00 degrees
Fractional positions:
Li  0.109  0.250  0.177
Li  0.139  0.750  0.532
Li  0.190  0.250  0.837
Li  0.810  0.750  0.163
Li  0.861  0.250  0.468
Li  0.891  0.750  0.823
V  0.471  0.750  0.746
V  0.529  0.250  0.254
P  0.254  0.750  0.091
P  0.280  0.250  0.545
P  0.720  0.750  0.455
P  0.746  0.250  0.909
O  0.036  0.750  0.067
O  0.106  0.250  0.419
O  0.269  0.021  0.658
O  0.269  0.479  0.658
O  0.322  0.507  0.181
O  0.322  0.993  0.181
O  0.334  0.750  0.932
O  0.464  0.250  0.471
O  0.536  0.750  0.529
O  0.666  0.250  0.068
O  0.678  0.007  0.819
O  0.678  0.493  0.819
O  0.731  0.521  0.342
O  0.731  0.979  0.342
O  0.894  0.750  0.581
O  0.964  0.250  0.933

Largest 10 diffraction maxima, in order of falling intensity, 10° ≤ 2θ ≤ 90°:
2θ (°)	I/Imax
24.04	100
22.99	58
12.50	51
33.18	22
33.44	19
35.89	12
58.26	10
19.59	10
49.23	9
30.95	8

***

The following is a simulated powder X-ray diffraction pattern of LiVP2O7. It was derived from a GGA+U-relaxed structure, using Cu Kα (weighted mean of Kα1 and Kα2).
Kinematic intensities with the Lorentz-polarization factor, no thermal factor.

Cell lengths 6.397, 6.397, 13.349 Å; angles 105.14, 105.14, 80.66 degrees
Fractional positions:
Li  0.018  0.236  0.150
Li  0.236  0.018  0.650
Li  0.764  0.982  0.350
Li  0.982  0.764  0.850
V  0.128  0.598  0.359
V  0.402  0.872  0.141
V  0.598  0.128  0.859
V  0.872  0.402  0.641
P  0.092  0.246  0.862
P  0.246  0.092  0.362
P  0.331  0.412  0.570
P  0.412  0.331  0.070
P  0.588  0.669  0.930
P  0.669  0.588  0.430
P  0.754  0.908  0.638
P  0.908  0.754  0.138
O  0.019  0.576  0.199
O  0.066  0.889  0.119
O  0.095  0.269  0.313
O  0.111  0.934  0.381
O  0.187  0.331  0.625
O  0.206  0.385  0.977
O  0.214  0.601  0.518
O  0.269  0.095  0.813
O  0.331  0.187  0.125
O  0.385  0.206  0.477
O  0.399  0.786  0.982
O  0.424  0.981  0.301
O  0.446  0.542  0.359
O  0.458  0.554  0.141
O  0.542  0.446  0.859
O  0.554  0.458  0.641
O  0.576  0.019  0.699
O  0.601  0.214  0.018
O  0.615  0.794  0.523
O  0.669  0.813  0.875
O  0.731  0.905  0.187
O  0.786  0.399  0.482
O  0.794  0.615  0.023
O  0.813  0.669  0.375
O  0.889  0.066  0.619
O  0.905  0.731  0.687
O  0.934  0.111  0.881
O  0.981  0.424  0.801

Largest 10 diffraction maxima, in order of falling intensity, 10° ≤ 2θ ≤ 90°:
2θ (°)	I/Imax
17.47	100
29.29	81
28.47	48
29.66	37
17.74	36
35.38	29
34.98	24
19.37	21
43.09	20
30.39	19